[1]
Structure and computed X-ray powder pattern of MgScIn (a structure optimized by DFT (GGA-PBE); Cu Kα (weighted mean of Kα1 and Kα2)).
Lines closer than 0.1° are merged.

Crystal structure
Unit cell a=4.3598 b=7.1785 c=7.1785 alpha=37.00 beta=90.00 gamma=90.00
Positions (direct):
Mg1 0.0000 0.0000 0.0000
Mg2 0.5000 0.1670 0.1670
Sc1 0.0000 0.3396 0.3396
Sc2 0.0000 0.6629 0.6629
In1 0.5000 0.5028 0.5028
In2 0.5000 0.8263 0.8263

Peak list (8 most intense, 10° ≤ 2θ ≤ 90°, by angle)
2θ/deg	Rel. int.
20.37	13.6
20.56	16.4
27.75	13.1
34.67	100.0
39.57	17.3
39.72	16.5
41.42	15.1
68.64	12.4

[2]
Structure and computed X-ray powder pattern of Li2Mg (a structure optimized by DFT (GGA-PBE); Cu Kα (weighted mean of Kα1 and Kα2)).
Lines closer than 0.1° are merged.

Crystal structure
Unit cell a=5.2366 b=5.2366 c=5.0169 alpha=90.00 beta=90.00 gamma=63.48
Positions (direct):
Li1 0.0166 0.3123 0.2500
Li2 0.3123 0.0166 0.7500
Li3 0.6877 0.9834 0.2500
Li4 0.9834 0.6877 0.7500
Mg1 0.3453 0.6547 0.2500
Mg2 0.6547 0.3453 0.7500

Peak list (8 most intense, 10° ≤ 2θ ≤ 90°, by angle)
2θ/deg	Rel. int.
18.94	48.9
19.94	73.0
26.02	100.0
34.31	34.7
35.80	46.9
37.24	73.9
38.85	99.5
42.59	32.6

[3]
Structure and computed X-ray powder pattern of Pr12Y6Sc (a structure optimized by DFT (GGA-PBE); Cu Kα (weighted mean of Kα1 and Kα2)).
Lines closer than 0.1° are merged.

Crystal structure
Unit cell a=8.7320 b=8.7320 c=8.7320 alpha=89.43 beta=89.43 gamma=89.43
Positions (direct):
Pr1 0.0347 0.9360 0.2835
Pr2 0.0640 0.7165 0.9653
Pr3 0.1391 0.4791 0.3125
Pr4 0.2835 0.0347 0.9360
Pr5 0.3125 0.1391 0.4791
Pr6 0.4791 0.3125 0.1391
Pr7 0.5209 0.6875 0.8609
Pr8 0.6875 0.8609 0.5209
Pr9 0.7165 0.9653 0.0640
Pr10 0.8609 0.5209 0.6875
Pr11 0.9360 0.2835 0.0347
Pr12 0.9653 0.0640 0.7165
Y1 0.2110 0.7600 0.5990
Y2 0.2400 0.4010 0.7890
Y3 0.4010 0.7890 0.2400
Y4 0.5990 0.2110 0.7600
Y5 0.7600 0.5990 0.2110
Y6 0.7890 0.2400 0.4010
Sc1 0.5000 0.5000 0.5000

Peak list (8 most intense, 10° ≤ 2θ ≤ 90°, by angle)
2θ/deg	Rel. int.
22.86	26.7
30.44	48.1
30.72	29.6
30.86	100.0
32.33	75.2
32.52	25.3
44.03	17.8
53.78	17.5

[4]
Structure and computed X-ray powder pattern of Cs2Ba2PaO6 (a structure optimized by DFT (GGA-PBE); Cu Kα (weighted mean of Kα1 and Kα2)).
Lines closer than 0.1° are merged.

Crystal structure
Unit cell a=6.6768 b=6.6768 c=7.3007 alpha=98.31 beta=98.31 gamma=118.63
Positions (direct):
Cs1 0.1663 0.8337 0.0000
Cs2 0.8337 0.1663 0.0000
Ba1 0.3377 0.6623 0.5000
Ba2 0.6623 0.3377 0.5000
Pa1 0.0000 0.0000 0.5000
O1 0.0429 0.3257 0.6621
O2 0.2107 0.2107 0.3251
O3 0.3257 0.0429 0.6621
O4 0.6743 0.9571 0.3379
O5 0.7893 0.7893 0.6749
O6 0.9571 0.6743 0.3379

Peak list (8 most intense, 10° ≤ 2θ ≤ 90°, by angle)
2θ/deg	Rel. int.
12.64	51.6
15.60	48.4
25.44	62.8
27.29	48.8
28.17	87.3
31.56	100.0
31.73	49.5
44.19	34.2